This entry pairs a crystal structure of V3TcRu with its simulated powder diffractogram. Radiation: Cu Ka. Structure: a crystal structure in Alexandria, relaxed with PBE.
No peak broadening, texture or thermal motion is included.

Top 10 peaks for 10° ≤ 2θ ≤ 90°, in order of rising 2θ:
2theta	I (rel.)
28.71	23
34.37	34
37.42	30
40.05	40
42.29	62
42.60	100
42.69	82
44.59	24
59.67	27
74.55	30

Structure:
```
data_V3TcRu
_chemical_formula_sum 'V6 Tc2 Ru2'
_symmetry_space_group_name_H-M 'P 1'
_symmetry_Int_Tables_number 1
_cell_length_a 4.8498
_cell_length_b 4.5022
_cell_length_c 6.5776
_cell_angle_alpha 90.00
_cell_angle_beta 103.22
_cell_angle_gamma 90.00
loop_
_symmetry_equiv_pos_as_xyz
'x,y,z'
loop_
_atom_site_label
_atom_site_type_symbol
_atom_site_fract_x
_atom_site_fract_y
_atom_site_fract_z
V1 V 0.0000 0.0000 0.0000
V2 V 0.0000 0.5000 0.0000
V3 V 0.0531 0.2500 0.3685
V4 V 0.2809 0.2500 0.7440
V5 V 0.7191 0.7500 0.2560
V6 V 0.9469 0.7500 0.6315
Tc1 Tc 0.3256 0.7500 0.4260
Tc2 Tc 0.6744 0.2500 0.5740
Ru1 Ru 0.4967 0.2500 0.1495
Ru2 Ru 0.5033 0.7500 0.8505
```

This entry pairs a crystal structure of V4Tc2Ru3 with its simulated powder diffractogram. Radiation: Cu Ka. Structure: a crystal structure in Alexandria, relaxed with PBE.
No peak broadening, texture or thermal motion is included.

Top 10 peaks for 10° ≤ 2θ ≤ 90°, in order of rising 2θ:
2theta	I (rel.)
24.02	1
26.60	5
33.25	11
42.26	100
54.79	3
58.80	1
61.31	15
71.53	2
75.04	4
77.28	29

Structure:
```
data_V4Tc2Ru3
_chemical_formula_sum 'V4 Tc2 Ru3'
_symmetry_space_group_name_H-M 'P 1'
_symmetry_Int_Tables_number 1
_cell_length_a 4.2781
_cell_length_b 4.2781
_cell_length_c 7.8517
_cell_angle_alpha 90.00
_cell_angle_beta 90.00
_cell_angle_gamma 120.00
loop_
_symmetry_equiv_pos_as_xyz
'x,y,z'
loop_
_atom_site_label
_atom_site_type_symbol
_atom_site_fract_x
_atom_site_fract_y
_atom_site_fract_z
V1 V 0.0000 0.0000 0.1574
V2 V 0.0000 0.0000 0.8426
V3 V 0.3333 0.6667 0.3891
V4 V 0.6667 0.3333 0.6109
Tc1 Tc 0.3333 0.6667 0.7167
Tc2 Tc 0.6667 0.3333 0.2833
Ru1 Ru 0.0000 0.0000 0.5000
Ru2 Ru 0.3333 0.6667 0.0808
Ru3 Ru 0.6667 0.3333 0.9192
```

This entry pairs a crystal structure of V6TcRu with its simulated powder diffractogram. Radiation: Cu Ka. Structure: a crystal structure in Alexandria, relaxed with PBE.
No peak broadening, texture or thermal motion is included.

Top 10 peaks for 10° ≤ 2θ ≤ 90°, in order of rising 2θ:
2theta	I (rel.)
20.93	11
29.79	7
36.71	5
42.54	20
42.65	100
47.93	3
57.47	3
61.86	18
77.91	12
78.09	24

Structure:
```
data_V6TcRu
_chemical_formula_sum 'V6 Tc1 Ru1'
_symmetry_space_group_name_H-M 'P 1'
_symmetry_Int_Tables_number 1
_cell_length_a 5.2010
_cell_length_b 5.2010
_cell_length_c 4.2370
_cell_angle_alpha 90.00
_cell_angle_beta 90.00
_cell_angle_gamma 109.63
loop_
_symmetry_equiv_pos_as_xyz
'x,y,z'
loop_
_atom_site_label
_atom_site_type_symbol
_atom_site_fract_x
_atom_site_fract_y
_atom_site_fract_z
V1 V 0.0000 0.5000 0.5000
V2 V 0.2477 0.2477 0.0000
V3 V 0.2503 0.7497 0.0000
V4 V 0.5000 0.0000 0.5000
V5 V 0.7497 0.2503 0.0000
V6 V 0.7523 0.7523 0.0000
Tc1 Tc 0.0000 0.0000 0.5000
Ru1 Ru 0.5000 0.5000 0.5000
```

This entry pairs a crystal structure of V6TcRu2 with its simulated powder diffractogram. Radiation: Cu Ka. Structure: a crystal structure in Alexandria, relaxed with PBE.
No peak broadening, texture or thermal motion is included.

Top 10 peaks for 10° ≤ 2θ ≤ 90°, in order of rising 2θ:
2theta	I (rel.)
26.59	100
43.93	24
44.12	72
44.20	47
52.12	23
52.24	8
52.46	15
70.83	9
81.03	14
81.39	14

Structure:
```
data_V6TcRu2
_chemical_formula_sum 'V6 Tc1 Ru2'
_symmetry_space_group_name_H-M 'P 1'
_symmetry_Int_Tables_number 1
_cell_length_a 7.1097
_cell_length_b 7.1097
_cell_length_c 4.1221
_cell_angle_alpha 106.74
_cell_angle_beta 106.74
_cell_angle_gamma 47.95
loop_
_symmetry_equiv_pos_as_xyz
'x,y,z'
loop_
_atom_site_label
_atom_site_type_symbol
_atom_site_fract_x
_atom_site_fract_y
_atom_site_fract_z
V1 V 0.0829 0.5844 0.3335
V2 V 0.2498 0.7502 0.0000
V3 V 0.4156 0.9171 0.6665
V4 V 0.5844 0.0829 0.3335
V5 V 0.7502 0.2498 0.0000
V6 V 0.9171 0.4156 0.6665
Tc1 Tc 0.0000 0.0000 0.5000
Ru1 Ru 0.3330 0.3330 0.8329
Ru2 Ru 0.6670 0.6670 0.1671
```

This entry pairs a crystal structure of Tc2Ru5W with its simulated powder diffractogram. Radiation: Cu Ka. Structure: a crystal structure in Alexandria, relaxed with PBE.
No peak broadening, texture or thermal motion is included.

Top 10 peaks for 10° ≤ 2θ ≤ 90°, in order of rising 2θ:
2theta	I (rel.)
19.92	4
23.04	2
40.48	100
47.03	32
47.21	16
68.69	10
68.84	20
82.88	24
83.15	12
87.56	11

Structure:
```
data_Tc2Ru5W
_chemical_formula_sum 'Tc2 Ru5 W1'
_symmetry_space_group_name_H-M 'P 1'
_symmetry_Int_Tables_number 1
_cell_length_a 5.4656
_cell_length_b 5.4558
_cell_length_c 5.4549
_cell_angle_alpha 60.12
_cell_angle_beta 59.95
_cell_angle_gamma 59.93
loop_
_symmetry_equiv_pos_as_xyz
'x,y,z'
loop_
_atom_site_label
_atom_site_type_symbol
_atom_site_fract_x
_atom_site_fract_y
_atom_site_fract_z
Tc1 Tc 0.2475 0.7525 0.2475
Tc2 Tc 0.7525 0.2475 0.7525
Ru1 Ru 0.2509 0.7519 0.7491
Ru2 Ru 0.2521 0.2521 0.2479
Ru3 Ru 0.7519 0.2509 0.2481
Ru4 Ru 0.7521 0.7521 0.7479
Ru5 Ru 0.7568 0.7568 0.2432
W1 W 0.2507 0.2507 0.7493
```

This entry pairs a crystal structure of Zn2TcRu with its simulated powder diffractogram. Radiation: Cu Ka. Structure: a crystal structure in Alexandria, relaxed with PBE.
No peak broadening, texture or thermal motion is included.

Top 10 peaks for 10° ≤ 2θ ≤ 90°, in order of rising 2θ:
2theta	I (rel.)
12.76	11
33.85	2
40.84	100
44.73	39
50.72	2
52.77	11
65.11	12
71.61	17
79.78	26
88.51	10

Structure:
```
data_Zn2TcRu
_chemical_formula_sum 'Zn2 Tc1 Ru1'
_symmetry_space_group_name_H-M 'P 1'
_symmetry_Int_Tables_number 1
_cell_length_a 2.8654
_cell_length_b 2.8654
_cell_length_c 6.9390
_cell_angle_alpha 90.00
_cell_angle_beta 90.00
_cell_angle_gamma 90.00
loop_
_symmetry_equiv_pos_as_xyz
'x,y,z'
loop_
_atom_site_label
_atom_site_type_symbol
_atom_site_fract_x
_atom_site_fract_y
_atom_site_fract_z
Zn1 Zn 0.0000 0.0000 0.0000
Zn2 Zn 0.5000 0.5000 0.2534
Tc1 Tc 0.5000 0.5000 0.7389
Ru1 Ru 0.0000 0.0000 0.5054
```

This entry pairs a crystal structure of ZnTc2Ru with its simulated powder diffractogram. Radiation: Cu Ka. Structure: a crystal structure in Alexandria, relaxed with PBE.
No peak broadening, texture or thermal motion is included.

Top 10 peaks for 10° ≤ 2θ ≤ 90°, in order of rising 2θ:
2theta	I (rel.)
20.50	1
22.96	1
31.21	1
37.43	1
41.71	51
41.89	100
60.45	16
61.02	8
76.26	32
76.64	16

Structure:
```
data_ZnTc2Ru
_chemical_formula_sum 'Zn1 Tc2 Ru1'
_symmetry_space_group_name_H-M 'P 1'
_symmetry_Int_Tables_number 1
_cell_length_a 5.0753
_cell_length_b 5.0753
_cell_length_c 5.0753
_cell_angle_alpha 145.18
_cell_angle_beta 129.48
_cell_angle_gamma 62.82
loop_
_symmetry_equiv_pos_as_xyz
'x,y,z'
loop_
_atom_site_label
_atom_site_type_symbol
_atom_site_fract_x
_atom_site_fract_y
_atom_site_fract_z
Zn1 Zn 0.0000 0.0000 0.0000
Tc1 Tc 0.5032 0.5032 0.0000
Tc2 Tc 0.7486 0.2486 0.5000
Ru1 Ru 0.2467 0.7467 0.5000
```

This entry pairs a crystal structure of Te5Ru with its simulated powder diffractogram. Radiation: Cu Ka. Structure: a crystal structure in Alexandria, relaxed with PBE.
No peak broadening, texture or thermal motion is included.

Top 10 peaks for 10° ≤ 2θ ≤ 90°, in order of rising 2θ:
2theta	I (rel.)
12.41	13
28.84	100
30.00	59
37.85	13
38.51	11
41.49	16
42.10	71
44.41	20
54.53	22
70.11	18

Structure:
```
data_Te5Ru
_chemical_formula_sum 'Te5 Ru1'
_symmetry_space_group_name_H-M 'P 1'
_symmetry_Int_Tables_number 1
_cell_length_a 5.9571
_cell_length_b 7.4186
_cell_length_c 7.4186
_cell_angle_alpha 31.92
_cell_angle_beta 90.00
_cell_angle_gamma 90.00
loop_
_symmetry_equiv_pos_as_xyz
'x,y,z'
loop_
_atom_site_label
_atom_site_type_symbol
_atom_site_fract_x
_atom_site_fract_y
_atom_site_fract_z
Te1 Te 0.0000 0.0000 0.0000
Te2 Te 0.0000 0.2404 0.2404
Te3 Te 0.5000 0.2995 0.2995
Te4 Te 0.5000 0.6257 0.6257
Te5 Te 0.5000 0.9660 0.9660
Ru1 Ru 0.0000 0.6255 0.6255
```

This entry pairs a crystal structure of Te3Ru5 with its simulated powder diffractogram. Radiation: Cu Ka. Structure: a crystal structure in Alexandria, relaxed with PBE.
No peak broadening, texture or thermal motion is included.

Top 10 peaks for 10° ≤ 2θ ≤ 90°, in order of rising 2θ:
2theta	I (rel.)
12.83	26
34.02	21
38.52	53
39.17	100
41.07	88
50.76	21
58.05	23
72.28	18
75.05	16
84.79	22

Structure:
```
data_Te3Ru5
_chemical_formula_sum 'Te6 Ru10'
_symmetry_space_group_name_H-M 'P 1'
_symmetry_Int_Tables_number 1
_cell_length_a 7.9663
_cell_length_b 7.9663
_cell_length_c 5.2710
_cell_angle_alpha 90.00
_cell_angle_beta 90.00
_cell_angle_gamma 120.00
loop_
_symmetry_equiv_pos_as_xyz
'x,y,z'
loop_
_atom_site_label
_atom_site_type_symbol
_atom_site_fract_x
_atom_site_fract_y
_atom_site_fract_z
Te1 Te 0.0000 0.2917 0.2500
Te2 Te 0.0000 0.7083 0.7500
Te3 Te 0.2917 0.0000 0.2500
Te4 Te 0.2917 0.2917 0.7500
Te5 Te 0.7083 0.0000 0.7500
Te6 Te 0.7083 0.7083 0.2500
Ru1 Ru 0.0000 0.3821 0.7500
Ru2 Ru 0.0000 0.6179 0.2500
Ru3 Ru 0.3333 0.6667 0.0000
Ru4 Ru 0.3333 0.6667 0.5000
Ru5 Ru 0.3821 0.0000 0.7500
Ru6 Ru 0.3821 0.3821 0.2500
Ru7 Ru 0.6179 0.0000 0.2500
Ru8 Ru 0.6179 0.6179 0.7500
Ru9 Ru 0.6667 0.3333 0.0000
Ru10 Ru 0.6667 0.3333 0.5000
```

This entry pairs a crystal structure of TeRu3 with its simulated powder diffractogram. Radiation: Cu Ka. Structure: a crystal structure in Alexandria, relaxed with PBE.
No peak broadening, texture or thermal motion is included.

Top 10 peaks for 10° ≤ 2θ ≤ 90°, in order of rising 2θ:
2theta	I (rel.)
36.23	1
39.44	100
45.51	16
46.04	33
56.99	1
66.74	20
67.16	10
79.99	11
80.77	24
84.89	10

Structure:
```
data_TeRu3
_chemical_formula_sum 'Te2 Ru6'
_symmetry_space_group_name_H-M 'P 1'
_symmetry_Int_Tables_number 1
_cell_length_a 8.4458
_cell_length_b 8.4458
_cell_length_c 8.4458
_cell_angle_alpha 153.01
_cell_angle_beta 153.01
_cell_angle_gamma 38.55
loop_
_symmetry_equiv_pos_as_xyz
'x,y,z'
loop_
_atom_site_label
_atom_site_type_symbol
_atom_site_fract_x
_atom_site_fract_y
_atom_site_fract_z
Te1 Te 0.1187 0.1187 0.0000
Te2 Te 0.8813 0.8813 0.0000
Ru1 Ru 0.0000 0.5000 0.5000
Ru2 Ru 0.2500 0.7500 0.5000
Ru3 Ru 0.3685 0.3685 0.0000
Ru4 Ru 0.5000 0.0000 0.5000
Ru5 Ru 0.6315 0.6315 0.0000
Ru6 Ru 0.7500 0.2500 0.5000
```

This entry pairs a crystal structure of Te3Ru4 with its simulated powder diffractogram. Radiation: Cu Ka. Structure: a crystal structure in Alexandria, relaxed with PBE.
No peak broadening, texture or thermal motion is included.

Top 10 peaks for 10° ≤ 2θ ≤ 90°, in order of rising 2θ:
2theta	I (rel.)
19.63	28
36.74	100
40.44	90
41.43	95
54.09	16
58.52	30
69.66	29
71.12	28
74.22	33
83.76	18

Structure:
```
data_Te3Ru4
_chemical_formula_sum 'Te3 Ru4'
_symmetry_space_group_name_H-M 'P 1'
_symmetry_Int_Tables_number 1
_cell_length_a 13.7461
_cell_length_b 13.7461
_cell_length_c 13.7461
_cell_angle_alpha 166.82
_cell_angle_beta 166.82
_cell_angle_gamma 18.68
loop_
_symmetry_equiv_pos_as_xyz
'x,y,z'
loop_
_atom_site_label
_atom_site_type_symbol
_atom_site_fract_x
_atom_site_fract_y
_atom_site_fract_z
Te1 Te 0.0000 0.0000 0.0000
Te2 Te 0.3171 0.3171 0.0000
Te3 Te 0.6829 0.6829 0.0000
Ru1 Ru 0.1290 0.1290 0.0000
Ru2 Ru 0.4424 0.4424 0.0000
Ru3 Ru 0.5576 0.5576 0.0000
Ru4 Ru 0.8710 0.8710 0.0000
```

This entry pairs a crystal structure of Te4Ru with its simulated powder diffractogram. Radiation: Cu Ka. Structure: a crystal structure in Alexandria, relaxed with PBE.
No peak broadening, texture or thermal motion is included.

Top 10 peaks for 10° ≤ 2θ ≤ 90°, in order of rising 2θ:
2theta	I (rel.)
13.89	73
26.54	21
31.38	70
33.27	100
38.96	24
44.02	43
44.97	33
48.65	27
60.62	21
71.96	18

Structure:
```
data_Te4Ru
_chemical_formula_sum 'Te4 Ru1'
_symmetry_space_group_name_H-M 'P 1'
_symmetry_Int_Tables_number 1
_cell_length_a 6.6269
_cell_length_b 6.6269
_cell_length_c 6.6269
_cell_angle_alpha 94.27
_cell_angle_beta 94.27
_cell_angle_gamma 148.31
loop_
_symmetry_equiv_pos_as_xyz
'x,y,z'
loop_
_atom_site_label
_atom_site_type_symbol
_atom_site_fract_x
_atom_site_fract_y
_atom_site_fract_z
Te1 Te 0.0897 0.7826 0.8723
Te2 Te 0.2174 0.0897 0.3072
Te3 Te 0.7826 0.9103 0.6928
Te4 Te 0.9103 0.2174 0.1277
Ru1 Ru 0.5000 0.5000 0.0000
```